Calculated XRD peak list
Compound: CsTlSnI4
Radiation: a wavelength of 1.5418 Å
Structure: the PBE geometry in Alexandria

Top 10 peaks for 2θ from 15° to 90°, low angle first:
2θ 20.1, I = 53; 2θ 22.3, I = 46; 2θ 28.0, I = 65; 2θ 28.1, I = 37; 2θ 28.6, I = 100; 2θ 29.0, I = 31; 2θ 40.5, I = 28; 2θ 40.9, I = 38; 2θ 41.2, I = 48; 2θ 50.3, I = 33

Structural model:
Unit cell a=6.2382 b=6.2382 c=18.4653 alpha=90.00 beta=90.00 gamma=90.00
Space group I4mm (No. 107)
One atom of each set of equivalent atoms:
Cs1 0.0000 0.0000 0.0000 x2
Tl1 0.0000 0.0000 0.7244 x2
Sn1 0.0000 0.0000 0.3639 x2
I1 0.0000 0.0000 0.2004 x2
I2 0.0000 0.0000 0.5460 x2
I3 0.0000 0.5000 0.3598 x4

=====

Calculated XRD peak list
Compound: LaCd9Cu2
Radiation: a wavelength of 1.5418 Å
Structure: the PBE geometry in Alexandria

Top 10 peaks for 2θ from 15° to 90°, low angle first:
2θ 30.0, I = 12; 2θ 34.1, I = 100; 2θ 37.0, I = 17; 2θ 39.1, I = 11; 2θ 40.2, I = 13; 2θ 40.3, I = 50; 2θ 42.1, I = 16; 2θ 61.1, I = 17; 2θ 72.0, I = 9; 2θ 82.1, I = 9

Structural model:
Unit cell a=11.7344 b=11.7344 c=7.4527 alpha=90.00 beta=90.00 gamma=90.00
Space group I4_1/amd (No. 141, origin choice 2)
One atom of each set of equivalent atoms:
La1 0.0000 0.2500 0.3750 x4
Cd1 0.0000 0.2500 0.8750 x4
Cd2 0.1210 0.0513 0.6824 x32
Cu1 0.0000 0.0000 0.0000 x8